[1]
CSeBr: theoretical powder diffractogram (Cu Kα (λ = 1.5418 Å)), based on a crystal structure in Alexandria, relaxed with GGA-PBE.

Peak list (10 most intense, 10 to 90 degrees two-theta, in order of rising 2θ)
Position (°2θ), I_rel
18.78, 56
19.03, 100
25.12, 66
28.33, 91
30.93, 92
35.12, 60
36.96, 55
39.05, 40
39.42, 41
48.84, 42

Structure:
Unit cell a=9.927 b=9.927 c=5.362 alpha=90.00 beta=90.00 gamma=144.37
Sites, in units of the cell vectors:
1 C 0.020 0.980 0.896
2 C 0.480 0.520 0.396
3 C 0.520 0.480 0.604
4 C 0.980 0.020 0.104
5 Se 0.176 0.324 0.250
6 Se 0.324 0.176 0.750
7 Se 0.676 0.824 0.250
8 Se 0.824 0.676 0.750
9 Br 0.248 0.752 0.877
10 Br 0.252 0.748 0.377
11 Br 0.748 0.252 0.623
12 Br 0.752 0.248 0.123

[2]
Sm3CBr3: theoretical powder diffractogram (Cu Kα (λ = 1.5418 Å)), based on a crystal structure in Alexandria, relaxed with GGA-PBE.

Peak list (10 most intense, 10 to 90 degrees two-theta, in order of rising 2θ)
Position (°2θ), I_rel
10.45, 24
30.07, 17
31.23, 45
31.34, 100
32.98, 26
34.34, 17
44.11, 28
45.54, 27
47.01, 20
57.53, 16

Structure:
Unit cell a=8.475 b=3.865 c=11.469 alpha=90.00 beta=92.56 gamma=90.00
Sites, in units of the cell vectors:
1 Sm 0.089 0.250 0.393
2 Sm 0.118 0.250 0.833
3 Sm 0.312 0.750 0.620
4 Sm 0.688 0.250 0.380
5 Sm 0.882 0.750 0.167
6 Sm 0.911 0.750 0.607
7 C 0.123 0.250 0.620
8 C 0.877 0.750 0.380
9 Br 0.138 0.250 0.124
10 Br 0.376 0.750 0.874
11 Br 0.380 0.750 0.368
12 Br 0.620 0.250 0.632
13 Br 0.624 0.250 0.126
14 Br 0.862 0.750 0.876

[3]
TaC2Br: theoretical powder diffractogram (Cu Kα (λ = 1.5418 Å)), based on a crystal structure in Alexandria, relaxed with GGA-PBE.

Peak list (10 most intense, 10 to 90 degrees two-theta, in order of rising 2θ)
Position (°2θ), I_rel
18.53, 24
29.16, 100
32.99, 32
35.38, 13
47.35, 14
49.15, 26
56.58, 31
59.75, 13
60.47, 12
79.55, 12

Structure:
Unit cell a=5.431 b=5.431 c=10.148 alpha=90.00 beta=90.00 gamma=90.00
Sites, in units of the cell vectors:
1 Ta 0.000 0.000 0.000
2 Ta 0.000 0.500 0.250
3 Ta 0.500 0.000 0.750
4 Ta 0.500 0.500 0.500
5 C 0.155 0.250 0.125
6 C 0.250 0.655 0.375
7 C 0.250 0.845 0.875
8 C 0.345 0.250 0.625
9 C 0.655 0.750 0.625
10 C 0.750 0.155 0.875
11 C 0.750 0.345 0.375
12 C 0.845 0.750 0.125
13 Br 0.000 0.000 0.500
14 Br 0.000 0.500 0.750
15 Br 0.500 0.000 0.250
16 Br 0.500 0.500 0.000

[4]
Tb3CBr3: theoretical powder diffractogram (Cu Kα (λ = 1.5418 Å)), based on a crystal structure in Alexandria, relaxed with GGA-PBE.

Peak list (10 most intense, 10 to 90 degrees two-theta, in order of rising 2θ)
Position (°2θ), I_rel
10.66, 28
30.60, 18
31.76, 45
31.95, 100
33.59, 28
35.02, 19
45.03, 26
46.32, 25
47.95, 19
62.69, 19

Structure:
Unit cell a=8.309 b=3.795 c=11.277 alpha=90.00 beta=92.28 gamma=90.00
Sites, in units of the cell vectors:
1 Tb 0.087 0.250 0.394
2 Tb 0.118 0.250 0.830
3 Tb 0.309 0.750 0.620
4 Tb 0.691 0.250 0.380
5 Tb 0.882 0.750 0.170
6 Tb 0.913 0.750 0.606
7 C 0.122 0.250 0.619
8 C 0.878 0.750 0.381
9 Br 0.137 0.250 0.124
10 Br 0.375 0.750 0.873
11 Br 0.381 0.750 0.368
12 Br 0.619 0.250 0.632
13 Br 0.625 0.250 0.127
14 Br 0.863 0.750 0.876

[5]
TcCBr2: theoretical powder diffractogram (Cu Kα (λ = 1.5418 Å)), based on a crystal structure in Alexandria, relaxed with GGA-PBE.

Peak list (10 most intense, 10 to 90 degrees two-theta, in order of rising 2θ)
Position (°2θ), I_rel
10.08, 100
20.92, 24
22.73, 24
23.80, 14
25.31, 21
28.44, 14
31.02, 19
31.59, 24
38.09, 13
49.96, 15

Structure:
Unit cell a=4.298 b=5.884 c=9.018 alpha=102.93 beta=91.36 gamma=98.27
Sites, in units of the cell vectors:
1 Tc 0.000 0.000 0.000
2 Tc 0.212 0.662 0.959
3 C 0.340 0.975 0.152
4 C 0.585 0.908 0.061
5 Br 0.036 0.449 0.167
6 Br 0.373 0.040 0.367
7 Br 0.464 0.690 0.716
8 Br 0.991 0.235 0.792

[6]
Th6CBr15: theoretical powder diffractogram (Cu Kα (λ = 1.5418 Å)), based on a crystal structure in Alexandria, relaxed with GGA-PBE.

Peak list (10 most intense, 10 to 90 degrees two-theta, in order of rising 2θ)
Position (°2θ), I_rel
10.89, 75
18.92, 32
29.09, 56
31.14, 100
36.69, 28
44.62, 71
55.41, 24
59.10, 19
73.77, 29
82.22, 21

Structure:
Unit cell a=9.949 b=9.949 c=9.949 alpha=109.47 beta=109.47 gamma=109.47
Sites, in units of the cell vectors:
1 Th 0.000 0.232 0.232
2 Th 0.000 0.768 0.768
3 Th 0.232 0.000 0.232
4 Th 0.232 0.232 0.000
5 Th 0.768 0.000 0.768
6 Th 0.768 0.768 0.000
7 C 0.000 0.000 0.000
8 Br 0.000 0.252 0.748
9 Br 0.000 0.500 0.500
10 Br 0.000 0.748 0.252
11 Br 0.252 0.000 0.748
12 Br 0.252 0.252 0.505
13 Br 0.252 0.505 0.252
14 Br 0.252 0.748 0.000
15 Br 0.495 0.748 0.748
16 Br 0.500 0.000 0.500
17 Br 0.500 0.500 0.000
18 Br 0.505 0.252 0.252
19 Br 0.748 0.000 0.252
20 Br 0.748 0.252 0.000
21 Br 0.748 0.495 0.748
22 Br 0.748 0.748 0.495

[7]
Ca3Br4: theoretical powder diffractogram (Cu Kα (λ = 1.5418 Å)), based on a crystal structure in Alexandria, relaxed with GGA-PBE.

Peak list (10 most intense, 10 to 90 degrees two-theta, in order of rising 2θ)
Position (°2θ), I_rel
26.26, 100
30.42, 37
30.62, 72
34.30, 52
34.84, 96
46.35, 21
49.15, 18
52.10, 58
54.05, 32
65.93, 28

Structure:
Unit cell a=6.786 b=6.786 c=5.729 alpha=90.00 beta=90.00 gamma=120.00
Sites, in units of the cell vectors:
1 Ca 0.000 0.500 0.000
2 Ca 0.500 0.000 0.000
3 Ca 0.500 0.500 0.000
4 Br 0.000 0.000 0.252
5 Br 0.000 0.000 0.748
6 Br 0.333 0.667 0.500
7 Br 0.667 0.333 0.500

[8]
Ca2CdBr6: theoretical powder diffractogram (Cu Kα (λ = 1.5418 Å)), based on a crystal structure in Alexandria, relaxed with GGA-PBE.

Peak list (10 most intense, 10 to 90 degrees two-theta, in order of rising 2θ)
Position (°2θ), I_rel
12.81, 62
26.46, 34
26.97, 22
28.36, 100
33.70, 32
36.90, 31
42.86, 19
43.27, 31
43.93, 17
45.29, 32

Structure:
Unit cell a=7.756 b=7.756 c=10.647 alpha=107.64 beta=107.64 gamma=31.57
Sites, in units of the cell vectors:
1 Ca 0.166 0.166 0.329
2 Ca 0.834 0.834 0.671
3 Cd 0.500 0.500 0.000
4 Br 0.135 0.135 0.043
5 Br 0.193 0.193 0.614
6 Br 0.476 0.476 0.727
7 Br 0.524 0.524 0.273
8 Br 0.807 0.807 0.386
9 Br 0.865 0.865 0.957

[9]
Rb4CaCd3Br12: theoretical powder diffractogram (Cu Kα (λ = 1.5418 Å)), based on a crystal structure in Alexandria, relaxed with GGA-PBE.

Peak list (10 most intense, 10 to 90 degrees two-theta, in order of rising 2θ)
Position (°2θ), I_rel
15.79, 26
22.40, 27
27.53, 60
31.89, 100
35.77, 13
45.72, 71
54.20, 26
56.82, 24
75.80, 31
84.58, 24

Structure:
Unit cell a=9.721 b=9.721 c=9.721 alpha=109.47 beta=109.47 gamma=109.47
Sites, in units of the cell vectors:
1 Rb 0.000 0.000 0.500
2 Rb 0.000 0.500 0.000
3 Rb 0.500 0.000 0.000
4 Rb 0.500 0.500 0.500
5 Ca 0.000 0.000 0.000
6 Cd 0.000 0.500 0.500
7 Cd 0.500 0.000 0.500
8 Cd 0.500 0.500 0.000
9 Br 0.000 0.254 0.254
10 Br 0.000 0.746 0.746
11 Br 0.250 0.500 0.750
12 Br 0.250 0.750 0.500
13 Br 0.254 0.000 0.254
14 Br 0.254 0.254 0.000
15 Br 0.500 0.250 0.750
16 Br 0.500 0.750 0.250
17 Br 0.746 0.000 0.746
18 Br 0.746 0.746 0.000
19 Br 0.750 0.250 0.500
20 Br 0.750 0.500 0.250

[10]
CsCaCeBr6: theoretical powder diffractogram (Cu Kα (λ = 1.5418 Å)), based on a crystal structure in Alexandria, relaxed with GGA-PBE.

Peak list (10 most intense, 10 to 90 degrees two-theta, in order of rising 2θ)
Position (°2θ), I_rel
10.00, 37
10.25, 35
11.57, 44
19.35, 100
20.58, 38
23.65, 44
25.75, 36
28.92, 32
30.33, 58
33.41, 54

Structure:
Unit cell a=10.734 b=10.734 c=10.734 alpha=121.70 beta=119.39 gamma=89.07
Sites, in units of the cell vectors:
1 Cs 0.302 0.052 0.250
2 Cs 0.698 0.948 0.750
3 Ca 0.000 0.000 0.500
4 Ca 0.000 0.500 0.000
5 Ce 0.000 0.500 0.500
6 Ce 0.500 0.500 0.000
7 Br 0.067 0.412 0.238
8 Br 0.067 0.829 0.655
9 Br 0.070 0.820 0.250
10 Br 0.326 0.171 0.738
11 Br 0.326 0.576 0.750
12 Br 0.326 0.588 0.155
13 Br 0.674 0.412 0.845
14 Br 0.674 0.424 0.250
15 Br 0.674 0.829 0.262
16 Br 0.930 0.180 0.750
17 Br 0.933 0.171 0.345
18 Br 0.933 0.588 0.762

[11]
Ca3BrCl5: theoretical powder diffractogram (Cu Kα (λ = 1.5418 Å)), based on a crystal structure in Alexandria, relaxed with GGA-PBE.

Peak list (10 most intense, 10 to 90 degrees two-theta, in order of rising 2θ)
Position (°2θ), I_rel
18.99, 36
19.49, 92
28.46, 93
28.81, 100
30.32, 44
37.17, 81
37.72, 46
39.58, 32
42.75, 41
46.99, 98

Structure:
Unit cell a=14.743 b=14.743 c=4.231 alpha=90.00 beta=90.00 gamma=144.02
Sites, in units of the cell vectors:
1 Ca 0.000 0.000 0.000
2 Ca 0.164 0.836 0.500
3 Ca 0.326 0.674 0.000
4 Ca 0.500 0.500 0.500
5 Ca 0.674 0.326 0.000
6 Ca 0.836 0.164 0.500
7 Br 0.397 0.603 0.500
8 Br 0.603 0.397 0.500
9 Cl 0.027 0.363 0.000
10 Cl 0.065 0.935 0.500
11 Cl 0.264 0.736 0.500
12 Cl 0.304 0.304 0.000
13 Cl 0.363 0.027 0.000
14 Cl 0.637 0.973 0.000
15 Cl 0.696 0.696 0.000
16 Cl 0.736 0.264 0.500
17 Cl 0.935 0.065 0.500
18 Cl 0.973 0.637 0.000

[12]
CaBr2Cl: theoretical powder diffractogram (Cu Kα (λ = 1.5418 Å)), based on a crystal structure in Alexandria, relaxed with GGA-PBE.

Peak list (10 most intense, 10 to 90 degrees two-theta, in order of rising 2θ)
Position (°2θ), I_rel
17.97, 100
19.01, 13
24.67, 52
25.04, 16
25.37, 23
30.70, 19
33.06, 48
34.41, 26
40.91, 12
47.21, 17

Structure:
Unit cell a=5.418 b=7.752 c=8.305 alpha=96.76 beta=108.80 gamma=110.33
Sites, in units of the cell vectors:
1 Ca 0.000 0.000 0.000
2 Ca 0.408 0.164 0.647
3 Br 0.115 0.903 0.320
4 Br 0.285 0.421 0.155
5 Br 0.491 0.502 0.482
6 Br 0.706 0.576 0.835
7 Cl 0.464 0.000 0.926
8 Cl 0.928 0.148 0.705

Q: Number 11 is which compound?
A: Ca3BrCl5